Computed powder diffractogram
Compound: Tb2SeOF2
Radiation: Cu Kα (λ = 1.5418 Å)
Structure: a GGA-PBE-relaxed structure

Structural model:
a b c (Å): 13.4872 13.4872 3.7673
angles (deg): 90.00 90.00 120.00
Fractional coordinates of all 36 atoms:
Tb 0.0550 0.7663 0.2500
Tb 0.1171 0.5147 0.2500
Tb 0.2337 0.2887 0.2500
Tb 0.2887 0.0550 0.7500
Tb 0.3976 0.8829 0.2500
Tb 0.4853 0.6024 0.2500
Tb 0.5147 0.3976 0.7500
Tb 0.6024 0.1171 0.7500
Tb 0.7113 0.9450 0.2500
Tb 0.7663 0.7113 0.7500
Tb 0.8829 0.4853 0.7500
Tb 0.9450 0.2337 0.7500
Se 0.2062 0.7191 0.7500
Se 0.2809 0.4871 0.7500
Se 0.4871 0.2062 0.2500
Se 0.5129 0.7938 0.7500
Se 0.7191 0.5129 0.2500
Se 0.7938 0.2809 0.2500
O 0.0144 0.4266 0.7500
O 0.4122 0.9856 0.7500
O 0.4266 0.4122 0.2500
O 0.5734 0.5878 0.7500
O 0.5878 0.0144 0.2500
O 0.9856 0.5734 0.2500
F 0.0669 0.3142 0.2500
F 0.1008 0.8938 0.7500
F 0.1062 0.2070 0.7500
F 0.2070 0.1008 0.2500
F 0.2473 0.9331 0.2500
F 0.3142 0.2473 0.7500
F 0.6858 0.7527 0.2500
F 0.7527 0.0669 0.7500
F 0.7930 0.8992 0.7500
F 0.8938 0.7930 0.2500
F 0.8992 0.1062 0.2500
F 0.9331 0.6858 0.7500

Principal peaks in the range 10° ≤ 2θ ≤ 80°, in order of falling intensity:
| 2θ/deg | I_rel |
| --- | --- |
| 27.53 | 100 |
| 31.21 | 99 |
| 33.09 | 76 |
| 48.68 | 45 |
| 35.74 | 45 |
| 36.58 | 40 |
| 54.80 | 40 |
| 13.13 | 37 |
| 48.32 | 30 |
| 71.02 | 29 |
| 56.51 | 28 |
| 47.76 | 28 |



Computed powder diffractogram
Compound: TmSeO3F
Radiation: Cu Kα (λ = 1.5418 Å)
Structure: a GGA-PBE-relaxed structure

Structural model:
a b c (Å): 6.5885 6.9255 7.1619
angles (deg): 90.00 98.32 90.00
Fractional coordinates of all 24 atoms:
Tm 0.1381 0.1410 0.3247
Tm 0.1381 0.3590 0.8247
Tm 0.8619 0.6410 0.1753
Tm 0.8619 0.8590 0.6753
Se 0.3515 0.6196 0.2898
Se 0.3515 0.8804 0.7898
Se 0.6485 0.1196 0.2102
Se 0.6485 0.3804 0.7102
O 0.1721 0.0305 0.6473
O 0.1721 0.4695 0.1473
O 0.1740 0.6923 0.7791
O 0.1740 0.8077 0.2791
O 0.4818 0.1861 0.3611
O 0.4818 0.3139 0.8611
O 0.5182 0.6861 0.1389
O 0.5182 0.8139 0.6389
O 0.8260 0.1923 0.7209
O 0.8260 0.3077 0.2209
O 0.8279 0.5305 0.8527
O 0.8279 0.9695 0.3527
F 0.1653 0.1204 0.0262
F 0.1653 0.3796 0.5262
F 0.8347 0.6204 0.4738
F 0.8347 0.8796 0.9738

Principal peaks in the range 10° ≤ 2θ ≤ 80°, in order of falling intensity:
| 2θ/deg | I_rel |
| --- | --- |
| 28.69 | 100 |
| 30.31 | 57 |
| 25.13 | 44 |
| 31.29 | 33 |
| 13.58 | 29 |
| 34.43 | 26 |
| 26.84 | 24 |
| 18.69 | 19 |
| 50.39 | 17 |
| 51.21 | 17 |
| 48.98 | 16 |
| 46.98 | 14 |



Computed powder diffractogram
Compound: SrSiO2F6
Radiation: Cu Kα (λ = 1.5418 Å)
Structure: a GGA-PBE-relaxed structure

Structural model:
a b c (Å): 6.0255 9.9140 11.4446
angles (deg): 90.00 114.27 90.00
Fractional coordinates of all 40 atoms:
Sr 0.2154 0.2225 0.0511
Sr 0.2154 0.2775 0.5511
Sr 0.7846 0.7225 0.4489
Sr 0.7846 0.7775 0.9489
Si 0.1398 0.5293 0.2549
Si 0.1398 0.9707 0.7549
Si 0.8602 0.0293 0.2451
Si 0.8602 0.4707 0.7451
O 0.1873 0.5670 0.6026
O 0.1873 0.9330 0.1026
O 0.4039 0.6692 0.0080
O 0.4039 0.8308 0.5080
O 0.5961 0.1692 0.4920
O 0.5961 0.3308 0.9920
O 0.8127 0.0670 0.8974
O 0.8127 0.4330 0.3974
F 0.0104 0.6203 0.1171
F 0.0099 0.6366 0.3289
F 0.0099 0.8634 0.8289
F 0.0104 0.8797 0.6171
F 0.1142 0.5703 0.7926
F 0.1142 0.9297 0.2926
F 0.2704 0.0628 0.8954
F 0.2704 0.4372 0.3954
F 0.2725 0.0768 0.6848
F 0.2725 0.4232 0.1848
F 0.3894 0.6322 0.3048
F 0.3894 0.8678 0.8048
F 0.6106 0.1322 0.1952
F 0.6106 0.3678 0.6952
F 0.7275 0.5768 0.8152
F 0.7275 0.9232 0.3152
F 0.7296 0.5628 0.6046
F 0.7296 0.9372 0.1046
F 0.8858 0.0703 0.7074
F 0.8858 0.4297 0.2074
F 0.9896 0.1203 0.3829
F 0.9901 0.1366 0.1711
F 0.9901 0.3634 0.6711
F 0.9896 0.3797 0.8829

Principal peaks in the range 10° ≤ 2θ ≤ 80°, in order of falling intensity:
| 2θ/deg | I_rel |
| --- | --- |
| 24.78 | 100 |
| 18.47 | 66 |
| 20.13 | 55 |
| 16.14 | 49 |
| 19.23 | 46 |
| 25.49 | 46 |
| 31.28 | 44 |
| 44.24 | 36 |
| 31.60 | 31 |
| 37.63 | 30 |
| 29.46 | 29 |
| 12.32 | 21 |



Computed powder diffractogram
Compound: Y4TiSi2O9F6
Radiation: Cu Kα (λ = 1.5418 Å)
Structure: a GGA-PBE-relaxed structure

Structural model:
a b c (Å): 9.2289 9.2289 7.1252
angles (deg): 90.00 90.00 70.89
Fractional coordinates of all 44 atoms:
Y 0.0756 0.6633 0.7500
Y 0.2894 0.4176 0.2500
Y 0.3367 0.9244 0.7500
Y 0.4176 0.2894 0.7500
Y 0.5824 0.7106 0.2500
Y 0.6633 0.0756 0.2500
Y 0.7106 0.5824 0.7500
Y 0.9244 0.3367 0.2500
Ti 0.0000 0.0000 0.0000
Ti 0.0000 0.0000 0.5000
Si 0.0364 0.2773 0.7500
Si 0.2773 0.0364 0.2500
Si 0.7227 0.9636 0.7500
Si 0.9636 0.7227 0.2500
O 0.0287 0.5344 0.2500
O 0.0323 0.7790 0.0570
O 0.0323 0.7790 0.4430
O 0.0616 0.9384 0.7500
O 0.1944 0.2230 0.2500
O 0.2210 0.9677 0.0570
O 0.2210 0.9677 0.4430
O 0.2230 0.1944 0.7500
O 0.4656 0.9713 0.2500
O 0.5344 0.0287 0.7500
O 0.7770 0.8056 0.2500
O 0.7790 0.0323 0.5570
O 0.7790 0.0323 0.9430
O 0.8056 0.7770 0.7500
O 0.9384 0.0616 0.2500
O 0.9677 0.2210 0.5570
O 0.9677 0.2210 0.9430
O 0.9713 0.4656 0.7500
F 0.2452 0.4711 0.5614
F 0.2452 0.4711 0.9386
F 0.3009 0.6991 0.7500
F 0.4159 0.5841 0.2500
F 0.4711 0.2452 0.0614
F 0.4711 0.2452 0.4386
F 0.5289 0.7548 0.5614
F 0.5289 0.7548 0.9386
F 0.5841 0.4159 0.7500
F 0.6991 0.3009 0.2500
F 0.7548 0.5289 0.0614
F 0.7548 0.5289 0.4386

Principal peaks in the range 10° ≤ 2θ ≤ 80°, in order of falling intensity:
| 2θ/deg | I_rel |
| --- | --- |
| 24.99 | 100 |
| 23.67 | 93 |
| 28.60 | 86 |
| 51.28 | 69 |
| 33.29 | 68 |
| 19.56 | 43 |
| 48.42 | 41 |
| 30.76 | 37 |
| 49.56 | 37 |
| 20.76 | 37 |
| 41.60 | 32 |
| 64.00 | 32 |



Computed powder diffractogram
Compound: Y4Si3O11F2
Radiation: Cu Kα (λ = 1.5418 Å)
Structure: a GGA-PBE-relaxed structure

Structural model:
a b c (Å): 6.5627 6.6865 13.4285
angles (deg): 87.58 85.79 60.85
Fractional coordinates of all 40 atoms:
Y 0.0605 0.2263 0.4728
Y 0.1800 0.1931 0.1704
Y 0.2191 0.7131 0.0291
Y 0.3234 0.8800 0.7032
Y 0.6766 0.1200 0.2968
Y 0.7809 0.2869 0.9709
Y 0.8200 0.8069 0.8296
Y 0.9395 0.7737 0.5272
Si 0.2340 0.6533 0.2833
Si 0.2676 0.2302 0.9207
Si 0.4915 0.7514 0.4346
Si 0.5085 0.2486 0.5654
Si 0.7324 0.7698 0.0793
Si 0.7660 0.3467 0.7167
O 0.0065 0.2157 0.6444
O 0.0158 0.4373 0.8872
O 0.1737 0.0945 0.0070
O 0.2043 0.8235 0.1873
O 0.2530 0.4038 0.5186
O 0.2658 0.8382 0.5198
O 0.3144 0.3896 0.2530
O 0.4055 0.3403 0.9782
O 0.4223 0.0457 0.8326
O 0.4454 0.9991 0.3868
O 0.4650 0.5987 0.3477
O 0.5350 0.4013 0.6523
O 0.5546 0.0009 0.6132
O 0.5777 0.9543 0.1674
O 0.5945 0.6597 0.0218
O 0.6856 0.6104 0.7470
O 0.7342 0.1618 0.4802
O 0.7470 0.5962 0.4814
O 0.7957 0.1765 0.8127
O 0.8263 0.9055 0.9930
O 0.9842 0.5627 0.1128
O 0.9935 0.7843 0.3556
F 0.0368 0.7677 0.6858
F 0.2021 0.7616 0.8552
F 0.7979 0.2384 0.1448
F 0.9632 0.2323 0.3142

Principal peaks in the range 10° ≤ 2θ ≤ 80°, in order of falling intensity:
| 2θ/deg | I_rel |
| --- | --- |
| 31.62 | 100 |
| 30.04 | 71 |
| 26.18 | 70 |
| 30.63 | 52 |
| 16.51 | 33 |
| 21.03 | 29 |
| 31.29 | 28 |
| 43.27 | 27 |
| 45.28 | 26 |
| 15.17 | 18 |
| 26.70 | 17 |
| 48.75 | 17 |



Computed powder diffractogram
Compound: SmOF
Radiation: Cu Kα (λ = 1.5418 Å)
Structure: a GGA-PBE-relaxed structure

Structural model:
a b c (Å): 3.9377 3.9377 3.9377
angles (deg): 60.00 60.00 60.00
Fractional coordinates of all 3 atoms:
Sm 0.0000 0.0000 0.0000
O 0.7500 0.7500 0.7500
F 0.2500 0.2500 0.2500

Principal peaks in the range 10° ≤ 2θ ≤ 80°, in order of falling intensity:
| 2θ/deg | I_rel |
| --- | --- |
| 27.75 | 100 |
| 46.10 | 56 |
| 54.66 | 46 |
| 32.15 | 29 |
| 74.23 | 18 |
| 76.50 | 12 |
| 67.25 | 9 |
| 57.31 | 8 |